Calculated powder diffractogram
Compound: MgAu2
Radiation: CuKα
Structure: a cell relaxed with PBE

The 10 most intense peaks (10 to 90 degrees two-theta), low angle first:
2θ/deg	intensity	index
23.44	26.2	0 2 1
26.46	15.8	1 1 0
37.97	100.0	1 3 1
38.68	16.3	0 6 0
39.87	24.6	0 0 2
43.74	14.5	0 6 1
52.76	11.0	2 0 0
56.76	10.8	0 6 2
68.12	11.6	2 0 2
71.13	16.2	1 3 3

Structure:
abc: 3.4704 13.9657 4.5225
angles: 90.00 90.00 90.00
Space group Cmcm (No. 63)
Symmetry-distinct sites (fractional):
1 Mg 0.0000 0.0995 0.2500 [4 per cell]
2 Au 0.0000 0.2339 0.7500 [4 per cell]
3 Au 0.0000 0.4363 0.2500 [4 per cell]